The following is a computed powder diffractogram of Li4Mn3OF11. It was derived from the GGA+U geometry in Alexandria, using CuKα.
No peak broadening, texture or thermal motion is included.

Crystal structure
```
Li4Mn3OF11
1.0
5.8828 0.0000 0.0000
-0.8551 6.0463 0.0000
-1.2531 -1.2373 6.0224
Li Mn O F
4 3 1 11
direct
0.0000 0.0000 0.0000
0.0646 0.6523 0.2631
0.6261 0.8370 0.4320
0.8241 0.4818 0.7584
0.2718 0.2285 0.5470
0.3956 0.7299 0.8204
0.5658 0.2813 0.0795
0.4600 0.4379 0.8172
0.0071 0.3580 0.5675
0.0696 0.9797 0.3305
0.1348 0.6786 0.9706
0.2696 0.0100 0.7934
0.2965 0.2908 0.1859
0.3335 0.6657 0.4849
0.5579 0.1392 0.5232
0.5812 0.9709 0.1236
0.7296 0.5779 0.2691
0.7323 0.7992 0.7639
0.8433 0.2727 0.9801
```

Most intense lines, 2θ = 5–70°, in order of rising 2θ:
5.671 Å, 15.63°, intensity 100, (1 0 0)
4.699 Å, 18.88°, intensity 68, (1 0 -1)
3.567 Å, 24.96°, intensity 42, (1 -1 1)
2.960 Å, 30.19°, intensity 31, (0 2 0)
2.933 Å, 30.48°, intensity 47, (0 1 -2)
2.857 Å, 31.31°, intensity 31, (1 1 1)
2.826 Å, 31.66°, intensity 27, (2 0 -1)
2.490 Å, 36.08°, intensity 30, (0 1 2)
2.085 Å, 43.39°, intensity 27, (1 1 2)
1.715 Å, 53.43°, intensity 26, (-3 2 1)